# 1
# In4Hg3Sb
Calculated powder X-ray diffraction pattern, Cu Kα, 1.54184 Å. Input: a crystal structure in Alexandria, relaxed with PBE.
Lines closer than 0.1° are merged.

Crystal structure
a = 4.386 Å, b = 4.642 Å, c = 11.757 Å
α = 88.44°, β = 85.42°, γ = 69.24°
Fractional coordinates of all 8 atoms:
In 0.125 0.130 0.124
In 0.372 0.369 0.372
In 0.628 0.631 0.628
In 0.875 0.870 0.876
Hg 0.253 0.250 0.754
Hg 0.500 0.500 0.000
Hg 0.747 0.750 0.246
Sb 0.000 0.000 0.500

Most intense lines, 10° ≤ 2θ ≤ 90°, most intense first:
- 3.038 Å, rel. 100.0
- 2.937 Å, rel. 95.2
- 2.902 Å, rel. 88.9
- 2.559 Å, rel. 63.0
- 2.255 Å, rel. 43.8
- 2.164 Å, rel. 38.8
- 2.036 Å, rel. 33.9
- 2.063 Å, rel. 33.8
- 1.971 Å, rel. 29.2
- 1.887 Å, rel. 25.6

# 2
# Sm2Zn15Cu2
Calculated powder X-ray diffraction pattern, Cu Kα, 1.54184 Å. Input: a crystal structure in Alexandria, relaxed with PBE.
Lines closer than 0.1° are merged.

Crystal structure
a = 6.789 Å, b = 6.789 Å, c = 6.789 Å
α = 82.64°, β = 82.64°, γ = 82.64°
Fractional coordinates of all 19 atoms:
Sm 0.164 0.164 0.164
Sm 0.836 0.836 0.836
Zn 0.000 0.500 0.500
Zn 0.150 0.150 0.657
Zn 0.150 0.657 0.150
Zn 0.211 0.500 0.789
Zn 0.211 0.789 0.500
Zn 0.343 0.850 0.850
Zn 0.500 0.000 0.500
Zn 0.500 0.211 0.789
Zn 0.500 0.500 0.000
Zn 0.500 0.789 0.211
Zn 0.657 0.150 0.150
Zn 0.789 0.211 0.500
Zn 0.789 0.500 0.211
Zn 0.850 0.343 0.850
Zn 0.850 0.850 0.343
Cu 0.401 0.401 0.401
Cu 0.599 0.599 0.599

Most intense lines, 10° ≤ 2θ ≤ 90°, most intense first:
- 2.230 Å, rel. 100.0
- 2.241 Å, rel. 65.0
- 2.588 Å, rel. 37.2
- 2.196 Å, rel. 35.3
- 1.996 Å, rel. 31.9
- 3.137 Å, rel. 29.4
- 2.512 Å, rel. 27.9
- 1.568 Å, rel. 24.6
- 2.181 Å, rel. 23.3
- 1.294 Å, rel. 23.1

# 3
# Tb2CdSnAu4
Calculated powder X-ray diffraction pattern, Cu Kα, 1.54184 Å. Input: a crystal structure in Alexandria, relaxed with PBE.
Lines closer than 0.1° are merged.

Crystal structure
a = 8.621 Å, b = 8.621 Å, c = 8.621 Å
α = 33.39°, β = 33.39°, γ = 33.39°
Fractional coordinates of all 8 atoms:
Tb 0.249 0.249 0.249
Tb 0.751 0.751 0.751
Cd 0.000 0.000 0.000
Sn 0.500 0.500 0.500
Au 0.122 0.122 0.122
Au 0.372 0.372 0.372
Au 0.628 0.628 0.628
Au 0.878 0.878 0.878

Most intense lines, 10° ≤ 2θ ≤ 90°, most intense first:
- 2.476 Å, rel. 100.0
- 2.486 Å, rel. 99.4
- 1.431 Å, rel. 54.4
- 1.754 Å, rel. 35.2
- 1.437 Å, rel. 17.4
- 1.108 Å, rel. 16.9
- 1.111 Å, rel. 16.2
- 1.238 Å, rel. 11.5
- 1.243 Å, rel. 10.9
- 3.509 Å, rel. 7.5

# 4
# AcTbPr4Sm2
Calculated powder X-ray diffraction pattern, Cu Kα, 1.54184 Å. Input: a crystal structure in Alexandria, relaxed with PBE.
Lines closer than 0.1° are merged.

Crystal structure
a = 5.229 Å, b = 5.259 Å, c = 10.490 Å
α = 90.00°, β = 90.00°, γ = 90.00°
Fractional coordinates of all 8 atoms:
Ac 0.000 0.000 0.000
Tb 0.500 0.500 0.500
Pr 0.000 0.500 0.257
Pr 0.000 0.500 0.743
Pr 0.500 0.000 0.258
Pr 0.500 0.000 0.742
Sm 0.000 0.000 0.500
Sm 0.500 0.500 0.000

Most intense lines, 10° ≤ 2θ ≤ 90°, most intense first:
- 3.028 Å, rel. 100.0
- 2.626 Å, rel. 33.9
- 1.855 Å, rel. 24.5
- 2.615 Å, rel. 16.9
- 1.584 Å, rel. 14.8
- 1.578 Å, rel. 14.6
- 1.581 Å, rel. 14.2
- 1.514 Å, rel. 12.6
- 1.852 Å, rel. 12.1
- 1.203 Å, rel. 6.0

# 5
# CeErP2
Calculated powder X-ray diffraction pattern, Cu Kα, 1.54184 Å. Input: a crystal structure in Alexandria, relaxed with PBE.
Lines closer than 0.1° are merged.

Crystal structure
a = 3.959 Å, b = 3.959 Å, c = 20.848 Å
α = 90.00°, β = 90.00°, γ = 120.00°
Fractional coordinates of all 12 atoms:
Ce 0.000 0.000 0.000
Ce 0.333 0.667 0.667
Ce 0.667 0.333 0.333
Er 0.000 0.000 0.172
Er 0.333 0.667 0.839
Er 0.667 0.333 0.505
P 0.000 0.000 0.582
P 0.000 0.000 0.756
P 0.333 0.667 0.249
P 0.333 0.667 0.423
P 0.667 0.333 0.089
P 0.667 0.333 0.915

Most intense lines, 10° ≤ 2θ ≤ 90°, most intense first:
- 2.648 Å, rel. 100.0
- 3.383 Å, rel. 82.1
- 1.980 Å, rel. 53.2
- 2.249 Å, rel. 48.4
- 3.257 Å, rel. 44.3
- 3.475 Å, rel. 36.5
- 1.720 Å, rel. 31.2
- 2.865 Å, rel. 26.9
- 1.306 Å, rel. 25.9
- 1.586 Å, rel. 20.8

# 6
# Na5B7C3
Calculated powder X-ray diffraction pattern, Cu Kα, 1.54184 Å. Input: a crystal structure in Alexandria, relaxed with PBE.
Lines closer than 0.1° are merged.

Crystal structure
a = 12.978 Å, b = 12.978 Å, c = 8.601 Å
α = 90.00°, β = 90.00°, γ = 167.57°
Fractional coordinates of all 30 atoms:
Na 0.000 0.000 0.000
Na 0.000 0.000 0.500
Na 0.199 0.801 0.000
Na 0.199 0.801 0.500
Na 0.402 0.598 0.503
Na 0.402 0.598 0.997
Na 0.598 0.402 0.003
Na 0.598 0.402 0.497
Na 0.801 0.199 0.000
Na 0.801 0.199 0.500
B 0.064 0.936 0.250
B 0.122 0.878 0.750
B 0.270 0.730 0.250
B 0.274 0.726 0.750
B 0.335 0.665 0.250
B 0.342 0.658 0.750
B 0.470 0.530 0.250
B 0.530 0.470 0.750
B 0.658 0.342 0.250
B 0.665 0.335 0.750
B 0.726 0.274 0.250
B 0.730 0.270 0.750
B 0.878 0.122 0.250
B 0.936 0.064 0.750
C 0.062 0.938 0.750
C 0.127 0.873 0.250
C 0.468 0.532 0.750
C 0.532 0.468 0.250
C 0.873 0.127 0.750
C 0.938 0.062 0.250

Most intense lines, 10° ≤ 2θ ≤ 90°, most intense first:
- 2.140 Å, rel. 100.0
- 2.213 Å, rel. 48.4
- 2.150 Å, rel. 38.6
- 2.468 Å, rel. 16.7
- 1.467 Å, rel. 16.4
- 1.212 Å, rel. 15.8
- 1.239 Å, rel. 12.9
- 2.580 Å, rel. 12.5
- 1.621 Å, rel. 9.9
- 1.186 Å, rel. 9.5

# 7
# AgI
Calculated powder X-ray diffraction pattern, Cu Kα, 1.54184 Å. Input: a crystal structure in Alexandria, relaxed with PBE.
Lines closer than 0.1° are merged.

Crystal structure
a = 8.108 Å, b = 8.100 Å, c = 6.489 Å
α = 66.47°, β = 66.34°, γ = 47.20°
Fractional coordinates of all 8 atoms:
Ag 0.013 0.013 0.237
Ag 0.237 0.237 0.013
Ag 0.763 0.763 0.987
Ag 0.987 0.987 0.763
I 0.143 0.607 0.607
I 0.393 0.857 0.857
I 0.607 0.143 0.143
I 0.857 0.393 0.393

Most intense lines, 10° ≤ 2θ ≤ 90°, most intense first:
- 3.783 Å, rel. 100.0
- 2.327 Å, rel. 89.6
- 5.837 Å, rel. 45.0
- 2.834 Å, rel. 32.1
- 2.298 Å, rel. 23.3
- 2.291 Å, rel. 20.7
- 1.965 Å, rel. 20.1
- 2.003 Å, rel. 19.2
- 1.960 Å, rel. 17.2
- 3.672 Å, rel. 15.7

# 8
# SmThGaOs
Calculated powder X-ray diffraction pattern, Cu Kα, 1.54184 Å. Input: a crystal structure in Alexandria, relaxed with PBE.
Lines closer than 0.1° are merged.

Crystal structure
a = 3.949 Å, b = 4.204 Å, c = 11.659 Å
α = 90.00°, β = 90.00°, γ = 90.00°
Fractional coordinates of all 8 atoms:
Sm 0.000 0.000 0.000
Sm 0.000 0.500 0.500
Th 0.500 0.000 0.277
Th 0.500 0.500 0.777
Ga 0.500 0.000 0.578
Ga 0.500 0.500 0.078
Os 0.000 0.000 0.733
Os 0.000 0.500 0.233

Most intense lines, 10° ≤ 2θ ≤ 90°, most intense first:
- 2.794 Å, rel. 100.0
- 2.313 Å, rel. 65.0
- 2.915 Å, rel. 34.0
- 5.830 Å, rel. 31.0
- 2.854 Å, rel. 29.1
- 1.975 Å, rel. 23.6
- 2.102 Å, rel. 23.5
- 2.345 Å, rel. 18.1
- 1.812 Å, rel. 14.5
- 1.705 Å, rel. 14.4

# 9
# TlGa7
Calculated powder X-ray diffraction pattern, Cu Kα, 1.54184 Å. Input: a crystal structure in Alexandria, relaxed with PBE.
Lines closer than 0.1° are merged.

Crystal structure
a = 12.269 Å, b = 7.244 Å, c = 4.023 Å
α = 90.00°, β = 107.89°, γ = 90.00°
Fractional coordinates of all 16 atoms:
Tl 0.000 0.000 0.000
Tl 0.500 0.500 0.000
Ga 0.000 0.500 0.000
Ga 0.125 0.303 0.613
Ga 0.125 0.697 0.613
Ga 0.248 0.500 0.230
Ga 0.252 0.000 0.770
Ga 0.375 0.197 0.387
Ga 0.375 0.803 0.387
Ga 0.500 0.000 0.000
Ga 0.625 0.197 0.613
Ga 0.625 0.803 0.613
Ga 0.748 0.000 0.230
Ga 0.752 0.500 0.770
Ga 0.875 0.303 0.387
Ga 0.875 0.697 0.387

Most intense lines, 10° ≤ 2θ ≤ 90°, most intense first:
- 2.273 Å, rel. 100.0
- 2.631 Å, rel. 77.9
- 2.614 Å, rel. 58.7
- 2.767 Å, rel. 53.1
- 2.828 Å, rel. 42.9
- 2.011 Å, rel. 40.9
- 3.038 Å, rel. 40.9
- 2.987 Å, rel. 35.2
- 3.428 Å, rel. 28.8
- 1.519 Å, rel. 27.0

# 10
# LaPm2Tm12
Calculated powder X-ray diffraction pattern, Cu Kα, 1.54184 Å. Input: a crystal structure in Alexandria, relaxed with PBE.
Lines closer than 0.1° are merged.

Crystal structure
a = 3.542 Å, b = 5.581 Å, c = 24.000 Å
α = 90.00°, β = 94.11°, γ = 90.00°
Fractional coordinates of all 15 atoms:
La 0.000 0.000 0.000
Pm 0.358 0.000 0.717
Pm 0.642 0.000 0.283
Tm 0.094 0.500 0.193
Tm 0.167 0.500 0.331
Tm 0.216 0.000 0.429
Tm 0.277 0.500 0.555
Tm 0.434 0.000 0.861
Tm 0.466 0.500 0.931
Tm 0.534 0.500 0.069
Tm 0.566 0.000 0.139
Tm 0.723 0.500 0.445
Tm 0.784 0.000 0.571
Tm 0.833 0.500 0.669
Tm 0.906 0.500 0.807

Most intense lines, 10° ≤ 2θ ≤ 90°, most intense first:
- 2.854 Å, rel. 100.0
- 2.790 Å, rel. 83.9
- 2.916 Å, rel. 73.6
- 2.607 Å, rel. 50.6
- 2.747 Å, rel. 38.2
- 2.637 Å, rel. 35.5
- 1.958 Å, rel. 28.8
- 2.465 Å, rel. 28.5
- 2.990 Å, rel. 27.5
- 1.495 Å, rel. 25.6

# 11
# NpH8PdPt2
Calculated powder X-ray diffraction pattern, Cu Kα, 1.54184 Å. Input: a crystal structure in Alexandria, relaxed with PBE.
Lines closer than 0.1° are merged.

Crystal structure
a = 4.902 Å, b = 4.902 Å, c = 6.115 Å
α = 90.00°, β = 90.00°, γ = 120.00°
Fractional coordinates of all 12 atoms:
Np 0.000 0.000 0.000
H 0.169 0.338 0.328
H 0.169 0.831 0.328
H 0.333 0.667 0.876
H 0.338 0.169 0.672
H 0.662 0.831 0.328
H 0.667 0.333 0.124
H 0.831 0.169 0.672
H 0.831 0.662 0.672
Pd 0.000 0.000 0.500
Pt 0.333 0.667 0.144
Pt 0.667 0.333 0.856

Most intense lines, 10° ≤ 2θ ≤ 90°, most intense first:
- 2.451 Å, rel. 100.0
- 2.481 Å, rel. 98.4
- 6.115 Å, rel. 74.1
- 3.487 Å, rel. 66.3
- 2.275 Å, rel. 41.0
- 1.421 Å, rel. 35.6
- 1.744 Å, rel. 35.4
- 1.438 Å, rel. 21.0
- 1.107 Å, rel. 18.9
- 1.415 Å, rel. 18.3

# 12
# LiTb2NdIn4
Calculated powder X-ray diffraction pattern, Cu Kα, 1.54184 Å. Input: a crystal structure in Alexandria, relaxed with PBE.
Lines closer than 0.1° are merged.

Crystal structure
a = 9.341 Å, b = 9.341 Å, c = 9.341 Å
α = 32.66°, β = 32.66°, γ = 32.66°
Fractional coordinates of all 8 atoms:
Li 0.000 0.000 0.000
Tb 0.254 0.254 0.254
Tb 0.746 0.746 0.746
Nd 0.500 0.500 0.500
In 0.122 0.122 0.122
In 0.373 0.373 0.373
In 0.627 0.627 0.627
In 0.878 0.878 0.878

Most intense lines, 10° ≤ 2θ ≤ 90°, most intense first:
- 2.678 Å, rel. 100.0
- 2.626 Å, rel. 97.4
- 1.526 Å, rel. 35.2
- 1.875 Å, rel. 34.7
- 1.516 Å, rel. 19.9
- 1.557 Å, rel. 17.3
- 1.179 Å, rel. 15.0
- 1.193 Å, rel. 14.3
- 1.313 Å, rel. 13.5
- 3.452 Å, rel. 10.4

What did the twelfth record say?
# LiTb2NdIn4
Calculated powder X-ray diffraction pattern, Cu Kα, 1.54184 Å. Input: a crystal structure in Alexandria, relaxed with PBE.
Lines closer than 0.1° are merged.

Crystal structure
a = 9.341 Å, b = 9.341 Å, c = 9.341 Å
α = 32.66°, β = 32.66°, γ = 32.66°
Fractional coordinates of all 8 atoms:
Li 0.000 0.000 0.000
Tb 0.254 0.254 0.254
Tb 0.746 0.746 0.746
Nd 0.500 0.500 0.500
In 0.122 0.122 0.122
In 0.373 0.373 0.373
In 0.627 0.627 0.627
In 0.878 0.878 0.878

Most intense lines, 10° ≤ 2θ ≤ 90°, most intense first:
- 2.678 Å, rel. 100.0
- 2.626 Å, rel. 97.4
- 1.526 Å, rel. 35.2
- 1.875 Å, rel. 34.7
- 1.516 Å, rel. 19.9
- 1.557 Å, rel. 17.3
- 1.179 Å, rel. 15.0
- 1.193 Å, rel. 14.3
- 1.313 Å, rel. 13.5
- 3.452 Å, rel. 10.4

Q: What is the formula in the sixth record?
A: Na5B7C3

Copy entry 1 word for word.
# In4Hg3Sb
Calculated powder X-ray diffraction pattern, Cu Kα, 1.54184 Å. Input: a crystal structure in Alexandria, relaxed with PBE.
Lines closer than 0.1° are merged.

Crystal structure
a = 4.386 Å, b = 4.642 Å, c = 11.757 Å
α = 88.44°, β = 85.42°, γ = 69.24°
Fractional coordinates of all 8 atoms:
In 0.125 0.130 0.124
In 0.372 0.369 0.372
In 0.628 0.631 0.628
In 0.875 0.870 0.876
Hg 0.253 0.250 0.754
Hg 0.500 0.500 0.000
Hg 0.747 0.750 0.246
Sb 0.000 0.000 0.500

Most intense lines, 10° ≤ 2θ ≤ 90°, most intense first:
- 3.038 Å, rel. 100.0
- 2.937 Å, rel. 95.2
- 2.902 Å, rel. 88.9
- 2.559 Å, rel. 63.0
- 2.255 Å, rel. 43.8
- 2.164 Å, rel. 38.8
- 2.036 Å, rel. 33.9
- 2.063 Å, rel. 33.8
- 1.971 Å, rel. 29.2
- 1.887 Å, rel. 25.6